# 1
Diffraction record for KLi2NbF8. The powder XRD pattern is calculated, not measured: it uses DFT lattice parameters and positions (GGA-PBE) and Cu Kα, 1.54184 Å.
Intensities are scaled so that the largest is 100.

Peak list (10 most intense, 10° ≤ 2θ ≤ 90°, in order of rising 2θ)
11.15 deg, d = 7.937 Å, I = 74; 21.15 deg, d = 4.201 Å, I = 70; 22.13 deg, d = 4.018 Å, I = 100; 22.40 deg, d = 3.968 Å, I = 38; 25.68 deg, d = 3.469 Å, I = 86; 36.46 deg, d = 2.464 Å, I = 52; 36.82 deg, d = 2.441 Å, I = 30; 43.22 deg, d = 2.093 Å, I = 84; 59.85 deg, d = 1.545 Å, I = 39; 65.62 deg, d = 1.423 Å, I = 23

```
12
Lattice="2.464 1.423 7.937 -2.464 1.423 7.937 0.000 -2.845 7.937" Properties=species:S:1:pos:R:3 pbc="T T T"
K 0.000 0.000 0.000
Li 0.000 0.000 6.403
Li 0.000 0.000 17.407
Nb 0.000 0.000 11.905
F -0.835 -1.265 10.686
F -0.678 -1.355 13.124
F 0.000 0.000 8.144
F -0.678 1.355 10.686
F -0.835 1.265 13.124
F 0.000 0.000 15.666
F 1.512 -0.090 10.686
F 1.512 0.090 13.124
```



# 2
Diffraction record for PmNpF6. The powder XRD pattern is calculated, not measured: it uses DFT lattice parameters and positions (GGA-PBE) and Cu Kα, 1.54184 Å.
Intensities are scaled so that the largest is 100.

Peak list (10 most intense, 10° ≤ 2θ ≤ 90°, in order of rising 2θ)
22.83 deg, d = 3.895 Å, I = 90; 27.06 deg, d = 3.296 Å, I = 100; 32.51 deg, d = 2.754 Å, I = 21; 42.79 deg, d = 2.113 Å, I = 76; 46.64 deg, d = 1.947 Å, I = 18; 50.16 deg, d = 1.819 Å, I = 23; 52.54 deg, d = 1.742 Å, I = 18; 54.75 deg, d = 1.677 Å, I = 21; 65.14 deg, d = 1.432 Å, I = 17; 70.87 deg, d = 1.330 Å, I = 23

```
16
Lattice="5.508 0.000 0.000 0.000 5.508 0.000 0.000 0.000 8.226" Properties=species:S:1:pos:R:3 pbc="T T T"
Pm 0.000 0.000 2.057
Pm 0.000 0.000 6.170
Np 2.754 2.754 0.000
Np 2.754 2.754 4.113
F 0.873 4.393 0.000
F 1.115 0.873 4.113
F 1.315 3.746 2.640
F 1.315 3.746 5.586
F 1.762 1.315 1.473
F 1.762 1.315 6.753
F 3.746 4.193 1.473
F 3.746 4.193 6.753
F 4.193 1.762 2.640
F 4.193 1.762 5.586
F 4.393 4.635 4.113
F 4.635 1.115 0.000
```



# 3
Diffraction record for LaV. The powder XRD pattern is calculated, not measured: it uses DFT lattice parameters and positions (GGA-PBE) and Cu Kα, 1.54184 Å.
Intensities are scaled so that the largest is 100.

Peak list (10 most intense, 10° ≤ 2θ ≤ 90°, in order of rising 2θ)
22.19 deg, d = 4.006 Å, I = 9; 25.68 deg, d = 3.469 Å, I = 12; 30.60 deg, d = 2.922 Å, I = 100; 33.05 deg, d = 2.710 Å, I = 29; 38.12 deg, d = 2.361 Å, I = 24; 38.94 deg, d = 2.313 Å, I = 7; 45.28 deg, d = 2.003 Å, I = 16; 57.19 deg, d = 1.611 Å, I = 16; 57.51 deg, d = 1.602 Å, I = 16; 74.44 deg, d = 1.274 Å, I = 18

```
12
Lattice="8.012 0.000 0.000 -4.006 6.938 0.000 0.000 0.000 5.420" Properties=species:S:1:pos:R:3 pbc="T T T"
La 0.000 2.346 1.355
La -1.974 5.765 1.355
La 2.032 1.173 4.065
La 1.974 5.765 1.355
La 5.980 1.173 4.065
La 4.006 4.592 4.065
V -1.157 3.958 4.065
V 1.157 3.958 4.065
V 0.000 5.961 4.065
V 4.006 0.977 1.355
V 2.849 2.981 1.355
V 5.163 2.981 1.355
```



# 4
Diffraction record for Ac2ErHfS6. The powder XRD pattern is calculated, not measured: it uses DFT lattice parameters and positions (GGA-PBE) and Cu Kα, 1.54184 Å.
Intensities are scaled so that the largest is 100.

Peak list (10 most intense, 10° ≤ 2θ ≤ 90°, in order of rising 2θ)
17.60 deg, d = 5.040 Å, I = 27; 24.30 deg, d = 3.663 Å, I = 29; 24.66 deg, d = 3.611 Å, I = 100; 25.59 deg, d = 3.480 Å, I = 29; 34.72 deg, d = 2.584 Å, I = 20; 35.55 deg, d = 2.525 Å, I = 27; 39.10 deg, d = 2.304 Å, I = 17; 39.80 deg, d = 2.265 Å, I = 16; 42.96 deg, d = 2.105 Å, I = 16; 44.54 deg, d = 2.034 Å, I = 16

```
10
Lattice="5.046 -5.167 0.000 5.046 5.167 0.000 -4.787 0.000 5.053" Properties=species:S:1:pos:R:3 pbc="T T T"
Ac 5.046 2.919 0.000
Ac 5.046 -2.919 0.000
Er 1.863 0.000 2.542
Hf 6.827 0.000 2.395
S -0.785 0.000 1.872
S 1.807 2.639 2.414
S -2.697 0.000 4.912
S 5.909 0.000 0.039
S 1.807 -2.639 2.414
S 4.416 0.000 3.256
```



# 5
Diffraction record for Na2SbSO4F3. The powder XRD pattern is calculated, not measured: it uses DFT lattice parameters and positions (GGA-PBE) and Cu Kα, 1.54184 Å.
Intensities are scaled so that the largest is 100.

Peak list (10 most intense, 10° ≤ 2θ ≤ 90°, in order of rising 2θ)
11.65 deg, d = 7.598 Å, I = 73; 15.59 deg, d = 5.685 Å, I = 58; 19.54 deg, d = 4.544 Å, I = 43; 20.69 deg, d = 4.292 Å, I = 92; 25.68 deg, d = 3.469 Å, I = 59; 26.58 deg, d = 3.354 Å, I = 55; 27.21 deg, d = 3.277 Å, I = 36; 28.28 deg, d = 3.156 Å, I = 100; 32.00 deg, d = 2.797 Å, I = 54; 39.67 deg, d = 2.272 Å, I = 37

```
44
Lattice="7.598 -3.643 0.000 7.598 3.643 0.000 0.000 0.000 11.339" Properties=species:S:1:pos:R:3 pbc="T T T"
Na 3.799 1.616 2.835
Na 1.806 0.000 0.000
Na 5.792 0.000 5.670
Na 3.799 -1.616 8.505
Na 11.398 1.616 2.835
Na 9.405 0.000 5.670
Na 13.391 0.000 0.000
Na 11.398 -1.616 8.505
Sb 7.598 2.787 7.512
Sb 7.598 0.856 1.842
Sb 7.598 -0.856 9.497
Sb 7.598 -2.787 3.828
S 2.760 0.000 5.670
S 4.838 0.000 0.000
S 10.359 0.000 0.000
S 12.437 0.000 5.670
O 5.728 2.455 5.918
O 3.615 0.240 6.861
O 5.728 1.188 0.249
O 3.984 0.240 10.148
O 3.615 -0.240 4.478
O 9.469 2.455 5.918
O 3.984 -0.240 1.191
O 9.469 1.188 0.249
O 5.728 -1.188 11.091
O 11.213 0.240 10.148
O 5.728 -2.455 5.421
O 11.582 0.240 6.861
O 11.213 -0.240 1.191
O 9.469 -1.188 11.091
O 11.582 -0.240 4.478
O 9.469 -2.455 5.421
F 6.187 2.213 8.821
F 7.598 2.791 1.307
F 6.187 1.430 3.151
F 9.010 2.213 8.821
F 7.598 0.852 6.977
F 9.010 1.430 3.151
F 6.187 -1.430 8.188
F 7.598 -0.852 4.363
F 6.187 -2.213 2.518
F 9.010 -1.430 8.188
F 7.598 -2.791 10.032
F 9.010 -2.213 2.518
```



# 6
Diffraction record for Ac2N2Cl. The powder XRD pattern is calculated, not measured: it uses DFT lattice parameters and positions (GGA-PBE) and Cu Kα, 1.54184 Å.
Intensities are scaled so that the largest is 100.

Peak list (10 most intense, 10° ≤ 2θ ≤ 90°, in order of rising 2θ)
23.01 deg, d = 3.865 Å, I = 19; 24.37 deg, d = 3.652 Å, I = 19; 27.00 deg, d = 3.302 Å, I = 100; 33.77 deg, d = 2.655 Å, I = 37; 42.92 deg, d = 2.107 Å, I = 46; 49.23 deg, d = 1.851 Å, I = 16; 51.42 deg, d = 1.777 Å, I = 18; 53.66 deg, d = 1.708 Å, I = 15; 56.38 deg, d = 1.632 Å, I = 17; 69.13 deg, d = 1.359 Å, I = 15

```
5
Lattice="4.217 0.000 0.000 -2.109 3.652 0.000 0.000 0.000 7.730" Properties=species:S:1:pos:R:3 pbc="T T T"
Ac 0.000 2.435 2.315
Ac 2.109 1.217 5.415
N 0.000 2.435 4.848
N 2.109 1.217 2.882
Cl 0.000 0.000 0.000
```